Diffraction record for Li3Fe2Si2O8. The powder diffractogram is calculated, not measured: it uses the PBE+U geometry in Alexandria and λ = 1.5418 Å (Cu Kα).

Crystal structure
```
Li3Fe2Si2O8
1.0
6.434 0.000 0.000
0.000 7.366 0.000
-0.105 0.000 7.612
Li Fe Si O
6 4 4 16
direct
0.004 0.000 0.257
0.248 0.677 0.444
0.250 0.178 0.941
0.750 0.678 0.059
0.752 0.177 0.556
0.996 0.500 0.743
0.256 0.676 0.067
0.265 0.175 0.571
0.735 0.675 0.429
0.744 0.176 0.933
0.011 0.864 0.753
0.488 0.501 0.754
0.512 0.001 0.246
0.989 0.364 0.247
0.006 0.227 0.419
0.012 0.717 0.924
0.196 0.497 0.236
0.217 0.989 0.761
0.273 0.378 0.761
0.296 0.872 0.234
0.492 0.630 0.932
0.494 0.615 0.573
0.506 0.115 0.427
0.508 0.130 0.068
0.704 0.372 0.766
0.727 0.878 0.239
0.783 0.489 0.239
0.804 0.997 0.764
0.988 0.217 0.076
0.994 0.727 0.581
```

Peak list (10 most intense, 2θ from 5° to 70°, by angle)
Position (°2θ)	Rel. int.	h k l
21.6	100	1 1 -1
21.8	88	1 1 1
24.2	20	0 2 0
27.4	16	1 0 2
32.4	29	2 1 -1
32.7	41	2 1 1
33.9	79	0 2 2
57.3	18	4 0 0
59.5	21	2 3 -3
60.0	22	2 3 3